1.
Simulated XRD peak list of Sr2CuB2O6 for λ = 1.5418 Å (Cu Kα), from a crystal structure in Alexandria, relaxed with PBE.
Lines closer than 0.1° are merged.

Largest 6 diffraction maxima, in order of falling intensity, 2θ = 10–80°:
index	2θ (°)	d/Å	Rel. int.
2 1 -1	32.12	2.786	100
1 1 1	30.44	2.936	55
1 2 -1	26.65	3.346	52
0 2 1	25.99	3.428	46
0 1 2	34.53	2.597	39
1 0 -2	29.24	3.055	24

Structural model:
Cell lengths 5.8738, 8.8373, 6.1233 Å; angles 90.00, 117.44, 90.00 degrees
Space group P2_1/c (No. 14)
Asymmetric unit:
Sr 0.1663 0.1055 0.3377 [4 per cell]
Cu 0.5000 0.0000 0.0000 [2 per cell]
B 0.3036 0.7495 0.6595 [4 per cell]
O 0.0939 0.6622 0.6142 [4 per cell]
O 0.2888 0.5921 0.1800 [4 per cell]
O 0.4657 0.1908 0.8165 [4 per cell]

=====

2.
Simulated XRD peak list of Tb2CuB8O16 for λ = 1.5418 Å (Cu Kα), from a crystal structure in Alexandria, relaxed with PBE.
Lines closer than 0.1° are merged.

Largest 6 diffraction maxima, in order of falling intensity, 2θ = 10–80°:
index	2θ (°)	d/Å	Rel. int.
0 1 1	17.55	5.053	100
0 1 3	44.56	2.034	56
3 1 -1	31.52	2.838	49
0 2 0	20.87	4.255	46
3 2 0	33.55	2.671	42
3 3 -1	43.84	2.065	37

Structural model:
Cell lengths 10.2956, 8.5109, 6.2788 Å; angles 90.00, 90.10, 90.00 degrees
Space group P2_1/c (No. 14)
Asymmetric unit:
Tb 0.1822 0.0016 0.4990 [4 per cell]
Cu 0.5000 0.0000 0.5000 [2 per cell]
B 0.9999 0.1810 0.8863 [4 per cell]
B 0.1941 0.0009 0.9988 [4 per cell]
B 0.3769 0.6929 0.3835 [4 per cell]
B 0.3790 0.1923 0.1156 [4 per cell]
O 0.0018 0.6649 0.0617 [4 per cell]
O 0.1144 0.5948 0.6468 [4 per cell]
O 0.1172 0.1008 0.8509 [4 per cell]
O 0.2695 0.5952 0.3486 [4 per cell]
O 0.2720 0.0941 0.1496 [4 per cell]
O 0.3598 0.6552 0.9390 [4 per cell]
O 0.3613 0.1558 0.5604 [4 per cell]
O 0.4989 0.6262 0.3536 [4 per cell]

=====

3.
Simulated XRD peak list of TmCuB5O10 for λ = 1.5418 Å (Cu Kα), from a crystal structure in Alexandria, relaxed with PBE.
Lines closer than 0.1° are merged.

Largest 6 diffraction maxima, in order of falling intensity, 2θ = 10–80°:
index	2θ (°)	d/Å	Rel. int.
1 1 0	17.47	5.077	100
0 2 0	20.78	4.274	39
1 1 4	33.32	2.689	36
0 2 4	35.25	2.546	36
1 3 4	45.13	2.009	34
2 2 4	45.79	1.982	29

Structural model:
Cell lengths 6.3109, 8.5478, 12.6811 Å; angles 90.00, 90.00, 90.00 degrees
Space group Ibam (No. 72)
Asymmetric unit:
Tm 0.0000 0.0000 0.2500 [4 per cell]
Cu 0.0000 0.0000 0.0000 [4 per cell]
B 0.0000 0.5000 0.2500 [4 per cell]
B 0.1155 0.3083 0.0993 [16 per cell]
O 0.0609 0.1563 0.1128 [16 per cell]
O 0.1467 0.3739 0.0000 [8 per cell]
O 0.1495 0.4057 0.1861 [16 per cell]

=====

4.
Simulated XRD peak list of Tm2CuB4O10 for λ = 1.5418 Å (Cu Kα), from a crystal structure in Alexandria, relaxed with PBE.
Lines closer than 0.1° are merged.

Largest 6 diffraction maxima, in order of falling intensity, 2θ = 10–80°:
index	2θ (°)	d/Å	Rel. int.
1 0 0	19.39	4.578	100
1 2 1	32.97	2.716	90
1 1 3	37.17	2.419	47
1 1 -3	37.02	2.428	44
0 1 3	31.31	2.857	43
0 2 1	26.41	3.375	43

Structural model:
Cell lengths 4.5783, 7.2401, 9.3265 Å; angles 90.00, 90.27, 90.00 degrees
Space group P2_1/c (No. 14)
Asymmetric unit:
Tm 0.0027 0.1032 0.1648 [4 per cell]
Cu 0.0000 0.0000 0.5000 [2 per cell]
B 0.4613 0.7308 0.5797 [4 per cell]
B 0.4714 0.0980 0.6633 [4 per cell]
O 0.2137 0.5898 0.8326 [4 per cell]
O 0.2285 0.6099 0.5408 [4 per cell]
O 0.3226 0.5889 0.1387 [4 per cell]
O 0.3400 0.1636 0.8019 [4 per cell]
O 0.3573 0.2230 0.5489 [4 per cell]